[1]
Diffraction record for EuPPt. The powder X-ray diffraction pattern is computed, not measured: it uses a DFT-relaxed cell (GGA-PBE, the Materials Project) and Cu Ka.
No peak broadening, texture or thermal motion is included.

Main lines, by angle (5° ≤ 2θ ≤ 70°):
- 26.96 deg, intensity 44.0
- 32.55 deg, intensity 100.0
- 40.34 deg, intensity 15.7
- 42.11 deg, intensity 16.6
- 43.75 deg, intensity 44.6
- 52.15 deg, intensity 7.7
- 55.58 deg, intensity 21.8
- 59.72 deg, intensity 5.1
- 62.30 deg, intensity 15.6
- 62.38 deg, intensity 15.6

a = 4.1370 Å, b = 4.1370 Å, c = 8.5841 Å
α = 90.05°, β = 90.05°, γ = 119.95°
Sites, in units of the cell vectors:
Eu1 0.0000 0.0000 0.0000
Eu2 0.0000 0.0000 0.5000
P1 0.3333 0.6667 0.7500
P2 0.6667 0.3333 0.2500
Pt1 0.3333 0.6667 0.2500
Pt2 0.6667 0.3333 0.7500

=====

[2]
Diffraction record for SrEuP2Pt2. The powder X-ray diffraction pattern is computed, not measured: it uses a DFT-relaxed cell (GGA-PBE, the Materials Project) and Cu Ka.
No peak broadening, texture or thermal motion is included.

Main lines, by angle (5° ≤ 2θ ≤ 70°):
- 19.99 deg, intensity 10.5
- 26.75 deg, intensity 57.9
- 32.03 deg, intensity 100.0
- 39.42 deg, intensity 23.1
- 40.62 deg, intensity 18.6
- 43.60 deg, intensity 46.8
- 51.89 deg, intensity 10.0
- 55.11 deg, intensity 21.3
- 61.11 deg, intensity 33.6
- 68.54 deg, intensity 10.9

a = 4.1516 Å, b = 4.1516 Å, c = 8.8832 Å
α = 90.00°, β = 90.00°, γ = 120.00°
Sites, in units of the cell vectors:
Sr1 0.0000 0.0000 0.0000
Eu1 0.0000 0.0000 0.5000
P1 0.3333 0.6667 0.7375
P2 0.6667 0.3333 0.2625
Pt1 0.3333 0.6667 0.2565
Pt2 0.6667 0.3333 0.7435

=====

[3]
Diffraction record for EuP2Rh2. The powder X-ray diffraction pattern is computed, not measured: it uses a DFT-relaxed cell (GGA-PBE, the Materials Project) and Cu Ka.
No peak broadening, texture or thermal motion is included.

Main lines, by angle (5° ≤ 2θ ≤ 70°):
- 23.72 deg, intensity 22.8
- 34.92 deg, intensity 28.1
- 36.02 deg, intensity 17.1
- 36.18 deg, intensity 100.0
- 44.78 deg, intensity 35.4
- 51.04 deg, intensity 11.3
- 58.01 deg, intensity 12.7
- 58.76 deg, intensity 16.5
- 64.86 deg, intensity 15.2
- 65.18 deg, intensity 11.4

a = 5.7499 Å, b = 5.7499 Å, c = 5.7499 Å
α = 138.78°, β = 138.78°, γ = 59.71°
Sites, in units of the cell vectors:
Eu1 0.0000 0.0000 0.0000
P1 0.3846 0.3846 0.0000
P2 0.6154 0.6154 0.0000
Rh1 0.2500 0.7500 0.5000
Rh2 0.7500 0.2500 0.5000

=====

[4]
Diffraction record for EuP2Ru2. The powder X-ray diffraction pattern is computed, not measured: it uses a DFT-relaxed cell (GGA-PBE, the Materials Project) and Cu Ka.
No peak broadening, texture or thermal motion is included.

Main lines, by angle (5° ≤ 2θ ≤ 70°):
- 16.45 deg, intensity 7.8
- 23.44 deg, intensity 29.9
- 33.29 deg, intensity 66.1
- 35.46 deg, intensity 100.0
- 44.69 deg, intensity 38.0
- 47.78 deg, intensity 9.9
- 51.06 deg, intensity 8.0
- 56.84 deg, intensity 37.8
- 60.84 deg, intensity 26.8
- 65.04 deg, intensity 12.2

a = 6.1055 Å, b = 6.1055 Å, c = 6.1055 Å
α = 141.20°, β = 141.20°, γ = 56.03°
Sites, in units of the cell vectors:
Eu1 0.0000 0.0000 0.0000
P1 0.3570 0.3570 0.0000
P2 0.6430 0.6430 0.0000
Ru1 0.2500 0.7500 0.5000
Ru2 0.7500 0.2500 0.5000

=====

[5]
Diffraction record for EuP12Ru4. The powder X-ray diffraction pattern is computed, not measured: it uses a DFT-relaxed cell (GGA-PBE, the Materials Project) and Cu Ka.
No peak broadening, texture or thermal motion is included.

Main lines, by angle (5° ≤ 2θ ≤ 70°):
- 15.46 deg, intensity 18.4
- 21.93 deg, intensity 16.6
- 26.95 deg, intensity 11.8
- 31.21 deg, intensity 100.0
- 35.01 deg, intensity 45.7
- 41.70 deg, intensity 33.4
- 44.73 deg, intensity 15.0
- 50.35 deg, intensity 25.8
- 55.55 deg, intensity 54.1
- 58.03 deg, intensity 23.6

a = 7.0190 Å, b = 7.0190 Å, c = 7.0190 Å
α = 109.47°, β = 109.47°, γ = 109.47°
Sites, in units of the cell vectors:
Eu1 0.0000 0.0000 0.0000
P1 0.1434 0.3588 0.5022
P2 0.1434 0.6412 0.7845
P3 0.2155 0.8566 0.3588
P4 0.3588 0.2155 0.8566
P5 0.3588 0.5022 0.1434
P6 0.4978 0.8566 0.6412
P7 0.5022 0.1434 0.3588
P8 0.6412 0.4978 0.8566
P9 0.6412 0.7845 0.1434
P10 0.7845 0.1434 0.6412
P11 0.8566 0.3588 0.2155
P12 0.8566 0.6412 0.4978
Ru1 0.0000 0.0000 0.5000
Ru2 0.0000 0.5000 0.0000
Ru3 0.5000 0.0000 0.0000
Ru4 0.5000 0.5000 0.5000

=====

[6]
Diffraction record for EuPb3. The powder X-ray diffraction pattern is computed, not measured: it uses a DFT-relaxed cell (GGA-PBE, the Materials Project) and Cu Ka.
No peak broadening, texture or thermal motion is included.

Main lines, by angle (5° ≤ 2θ ≤ 70°):
- 17.85 deg, intensity 1.2
- 25.34 deg, intensity 1.1
- 31.17 deg, intensity 100.0
- 36.15 deg, intensity 51.0
- 40.59 deg, intensity 0.7
- 44.66 deg, intensity 0.6
- 52.05 deg, intensity 36.6
- 61.93 deg, intensity 43.8
- 65.01 deg, intensity 12.7

a = 4.9697 Å, b = 4.9697 Å, c = 4.9697 Å
α = 90.00°, β = 90.00°, γ = 90.00°
Sites, in units of the cell vectors:
Eu1 0.0000 0.0000 0.0000
Pb1 0.0000 0.5000 0.5000
Pb2 0.5000 0.0000 0.5000
Pb3 0.5000 0.5000 0.0000

=====

[7]
Diffraction record for EuZnPb. The powder X-ray diffraction pattern is computed, not measured: it uses a DFT-relaxed cell (GGA-PBE, the Materials Project) and Cu Ka.
No peak broadening, texture or thermal motion is included.

Main lines, by angle (5° ≤ 2θ ≤ 70°):
- 21.50 deg, intensity 27.8
- 29.73 deg, intensity 52.7
- 30.59 deg, intensity 39.7
- 31.01 deg, intensity 19.5
- 31.34 deg, intensity 100.0
- 36.20 deg, intensity 74.9
- 36.40 deg, intensity 17.4
- 36.83 deg, intensity 45.3
- 48.62 deg, intensity 32.2
- 67.22 deg, intensity 21.5

a = 6.2483 Å, b = 6.2483 Å, c = 7.7787 Å
α = 127.40°, β = 127.40°, γ = 45.98°
Sites, in units of the cell vectors:
Eu1 0.0388 0.0388 0.2871
Eu2 0.9612 0.9612 0.7129
Zn1 0.3552 0.3552 0.9014
Zn2 0.6448 0.6448 0.0986
Pb1 0.3242 0.3242 0.2639
Pb2 0.6758 0.6758 0.7361

=====

[8]
Diffraction record for EuPd3. The powder X-ray diffraction pattern is computed, not measured: it uses a DFT-relaxed cell (GGA-PBE, the Materials Project) and Cu Ka.
No peak broadening, texture or thermal motion is included.

Main lines, by angle (5° ≤ 2θ ≤ 70°):
- 21.20 deg, intensity 2.4
- 30.16 deg, intensity 2.2
- 37.16 deg, intensity 100.0
- 43.18 deg, intensity 49.0
- 48.58 deg, intensity 1.2
- 53.57 deg, intensity 0.9
- 62.71 deg, intensity 31.8
- 66.99 deg, intensity 0.6

a = 4.1906 Å, b = 4.1906 Å, c = 4.1906 Å
α = 90.00°, β = 90.00°, γ = 90.00°
Sites, in units of the cell vectors:
Eu1 0.0000 0.0000 0.0000
Pd1 0.0000 0.5000 0.5000
Pd2 0.5000 0.0000 0.5000
Pd3 0.5000 0.5000 0.0000

=====

[9]
Diffraction record for EuPd. The powder X-ray diffraction pattern is computed, not measured: it uses a DFT-relaxed cell (GGA-PBE, the Materials Project) and Cu Ka.
No peak broadening, texture or thermal motion is included.

Main lines, by angle (5° ≤ 2θ ≤ 70°):
- 30.27 deg, intensity 100.0
- 31.69 deg, intensity 26.8
- 32.15 deg, intensity 31.6
- 37.49 deg, intensity 22.7
- 37.89 deg, intensity 68.0
- 39.65 deg, intensity 29.4
- 43.78 deg, intensity 22.2
- 51.93 deg, intensity 16.2
- 60.53 deg, intensity 16.8
- 61.71 deg, intensity 15.0

a = 6.0142 Å, b = 6.0142 Å, c = 4.5468 Å
α = 90.00°, β = 90.00°, γ = 139.78°
Sites, in units of the cell vectors:
Eu1 0.1380 0.8620 0.7500
Eu2 0.8620 0.1380 0.2500
Pd1 0.4229 0.5771 0.7500
Pd2 0.5771 0.4229 0.2500

=====

[10]
Diffraction record for EuPd2. The powder X-ray diffraction pattern is computed, not measured: it uses a DFT-relaxed cell (GGA-PBE, the Materials Project) and Cu Ka.
No peak broadening, texture or thermal motion is included.

Main lines, by angle (5° ≤ 2θ ≤ 70°):
- 24.45 deg, intensity 51.7
- 36.96 deg, intensity 17.9
- 37.55 deg, intensity 100.0
- 38.97 deg, intensity 22.5
- 45.82 deg, intensity 28.3
- 52.61 deg, intensity 12.9
- 60.27 deg, intensity 8.6
- 61.68 deg, intensity 23.0
- 66.81 deg, intensity 9.0
- 69.64 deg, intensity 16.0

a = 5.4048 Å, b = 5.4048 Å, c = 5.4048 Å
α = 137.01°, β = 137.01°, γ = 62.42°
Sites, in units of the cell vectors:
Eu1 0.0000 0.0000 0.0000
Pd1 0.2500 0.7500 0.5000
Pd2 0.7500 0.2500 0.5000

=====

[11]
Diffraction record for EuPd2. The powder X-ray diffraction pattern is computed, not measured: it uses a DFT-relaxed cell (GGA-PBE, the Materials Project) and Cu Ka.
No peak broadening, texture or thermal motion is included.

Main lines, by angle (5° ≤ 2θ ≤ 70°):
- 32.27 deg, intensity 38.9
- 38.04 deg, intensity 100.0
- 39.80 deg, intensity 29.3
- 46.29 deg, intensity 1.2
- 57.55 deg, intensity 14.9
- 61.40 deg, intensity 32.3
- 67.54 deg, intensity 26.4

a = 5.5477 Å, b = 5.5477 Å, c = 5.5477 Å
α = 60.00°, β = 60.00°, γ = 60.00°
Sites, in units of the cell vectors:
Eu1 0.1250 0.1250 0.1250
Eu2 0.8750 0.8750 0.8750
Pd1 0.0000 0.5000 0.5000
Pd2 0.5000 0.0000 0.5000
Pd3 0.5000 0.5000 0.0000
Pd4 0.5000 0.5000 0.5000

=====

[12]
Diffraction record for Eu4Pd. The powder X-ray diffraction pattern is computed, not measured: it uses a DFT-relaxed cell (GGA-PBE, the Materials Project) and Cu Ka.
No peak broadening, texture or thermal motion is included.

Main lines, by angle (5° ≤ 2θ ≤ 70°):
- 20.98 deg, intensity 9.7
- 25.76 deg, intensity 100.0
- 29.84 deg, intensity 34.2
- 32.58 deg, intensity 12.4
- 39.07 deg, intensity 11.7
- 42.70 deg, intensity 51.6
- 50.54 deg, intensity 42.8
- 52.96 deg, intensity 8.0
- 61.98 deg, intensity 7.7
- 68.26 deg, intensity 15.6

a = 8.4703 Å, b = 8.4703 Å, c = 8.4703 Å
α = 60.00°, β = 60.00°, γ = 60.00°
Sites, in units of the cell vectors:
Eu1 0.2221 0.7593 0.7593
Eu2 0.2407 0.2407 0.2407
Eu3 0.2407 0.2407 0.7779
Eu4 0.2407 0.7779 0.2407
Eu5 0.7593 0.2221 0.7593
Eu6 0.7593 0.7593 0.2221
Eu7 0.7593 0.7593 0.7593
Eu8 0.7779 0.2407 0.2407
Pd1 0.3750 0.3750 0.3750
Pd2 0.6250 0.6250 0.6250